Theoretical X-ray powder pattern
Compound: K2AlOs
Radiation: Cu Kα, 1.54184 Å
Structure: a crystal structure in Alexandria, relaxed with PBE

Cell and atoms:
```
data_K2AlOs
_cell_length_a 3.1240
_cell_length_b 3.8945
_cell_length_c 20.3562
_cell_angle_alpha 90.00
_cell_angle_beta 90.00
_cell_angle_gamma 90.00
_symmetry_space_group_name_H-M 'P 1'
_symmetry_Int_Tables_number 1
_symmetry_space_group_name_Hall 'P 1'
loop_
_atom_site_label
_atom_site_type_symbol
_atom_site_fract_x
_atom_site_fract_y
_atom_site_fract_z
K1 K 0.0000 0.0000 0.1446
K2 K 0.0000 0.0000 0.8554
K3 K 0.5000 0.5000 0.3554
K4 K 0.5000 0.5000 0.6446
Al1 Al 0.0000 0.5000 0.5000
Al2 Al 0.5000 0.0000 0.0000
Os1 Os 0.0000 0.5000 0.0000
Os2 Os 0.5000 0.0000 0.5000
```

The 10 most intense peaks (2θ = 15–90°), low angle first:
2θ 17.43, I = 462, hkl 0 0 4
2θ 26.27, I = 669, hkl 0 0 6
2θ 26.39, I = 1000, hkl 0 1 3
2θ 28.91, I = 631, hkl 1 0 1
2θ 31.80, I = 335, hkl 0 1 5
2θ 35.27, I = 284, hkl 0 0 8
2θ 37.97, I = 756, hkl 1 1 2
2θ 41.07, I = 897, hkl 1 1 4
2θ 42.47, I = 289, hkl 1 0 7
2θ 59.14, I = 389, hkl 2 0 0